(1)
Computed powder XRD pattern of Ce8Ga3Ru2 for Cu Kα, 1.54184 Å, from the PBE geometry in Alexandria.
Kinematic intensities with the Lorentz-polarization factor, no thermal factor.

The 10 most intense peaks (2θ from 15° to 90°), sorted by position:
2θ/deg	Rel. int.
20.22	35
27.88	58
29.45	46
32.95	100
34.71	35
35.08	47
35.99	35
50.38	31
52.88	30
57.68	48

Crystal structure
Lattice parameters (Å, degrees): 10.299 10.299 10.299 36.16 36.16 36.16
Element x y z (fractional)
Ce: 0.200 0.200 0.200
Ce: 0.246 0.246 0.683
Ce: 0.246 0.683 0.246
Ce: 0.317 0.754 0.754
Ce: 0.683 0.246 0.246
Ce: 0.754 0.317 0.754
Ce: 0.754 0.754 0.317
Ce: 0.800 0.800 0.800
Ga: 0.301 0.301 0.301
Ga: 0.500 0.500 0.500
Ga: 0.699 0.699 0.699
Ru: 0.117 0.117 0.117
Ru: 0.883 0.883 0.883


(2)
Computed powder XRD pattern of Ce5GaSb5 for Cu Kα, 1.54184 Å, from the PBE geometry in Alexandria.
Kinematic intensities with the Lorentz-polarization factor, no thermal factor.

The 10 most intense peaks (2θ from 15° to 90°), sorted by position:
2θ/deg	Rel. int.
28.43	50
28.56	100
40.58	19
40.79	76
40.87	19
50.38	21
50.63	20
59.12	13
66.67	13
66.93	30

Crystal structure
Lattice parameters (Å, degrees): 7.661 7.661 8.893 107.07 107.07 48.13
Element x y z (fractional)
Ce: 0.000 0.000 0.000
Ce: 0.336 0.336 0.669
Ce: 0.338 0.338 0.166
Ce: 0.662 0.662 0.834
Ce: 0.664 0.664 0.331
Ga: 0.500 0.500 0.000
Sb: 0.166 0.166 0.832
Sb: 0.173 0.173 0.334
Sb: 0.500 0.500 0.500
Sb: 0.827 0.827 0.666
Sb: 0.834 0.834 0.168


(3)
Computed powder XRD pattern of Ce5GaSb3 for Cu Kα, 1.54184 Å, from the PBE geometry in Alexandria.
Kinematic intensities with the Lorentz-polarization factor, no thermal factor.

The 10 most intense peaks (2θ from 15° to 90°), sorted by position:
2θ/deg	Rel. int.
32.17	65
32.84	86
33.91	100
42.27	13
47.93	29
50.70	14
52.20	16
59.32	16
65.15	13
68.10	20

Crystal structure
Lattice parameters (Å, degrees): 9.447 9.447 6.380 90.00 90.00 120.00
Element x y z (fractional)
Ce: 0.000 0.269 0.250
Ce: 0.000 0.731 0.750
Ce: 0.269 0.000 0.250
Ce: 0.269 0.269 0.750
Ce: 0.333 0.667 0.000
Ce: 0.333 0.667 0.500
Ce: 0.667 0.333 0.000
Ce: 0.667 0.333 0.500
Ce: 0.731 0.000 0.750
Ce: 0.731 0.731 0.250
Ga: 0.000 0.000 0.000
Ga: 0.000 0.000 0.500
Sb: 0.000 0.379 0.750
Sb: 0.000 0.621 0.250
Sb: 0.379 0.000 0.750
Sb: 0.379 0.379 0.250
Sb: 0.621 0.000 0.250
Sb: 0.621 0.621 0.750


(4)
Computed powder XRD pattern of Ce6GaSb3 for Cu Kα, 1.54184 Å, from the PBE geometry in Alexandria.
Kinematic intensities with the Lorentz-polarization factor, no thermal factor.

The 10 most intense peaks (2θ from 15° to 90°), sorted by position:
2θ/deg	Rel. int.
28.64	31
33.07	100
33.18	17
33.33	14
33.45	52
39.59	11
43.13	11
50.72	25
58.26	13
61.90	12

Crystal structure
Lattice parameters (Å, degrees): 8.298 8.298 8.298 81.18 81.18 81.18
Element x y z (fractional)
Ce: 0.086 0.757 0.757
Ce: 0.155 0.524 0.524
Ce: 0.243 0.243 0.914
Ce: 0.243 0.914 0.243
Ce: 0.476 0.476 0.845
Ce: 0.476 0.845 0.476
Ce: 0.524 0.155 0.524
Ce: 0.524 0.524 0.155
Ce: 0.757 0.086 0.757
Ce: 0.757 0.757 0.086
Ce: 0.845 0.476 0.476
Ce: 0.914 0.243 0.243
Ga: 0.000 0.000 0.000
Ga: 0.500 0.500 0.500
Sb: 0.136 0.136 0.557
Sb: 0.136 0.557 0.136
Sb: 0.443 0.864 0.864
Sb: 0.557 0.136 0.136
Sb: 0.864 0.443 0.864
Sb: 0.864 0.864 0.443


(5)
Computed powder XRD pattern of Ce2GaSb4 for Cu Kα, 1.54184 Å, from the PBE geometry in Alexandria.
Kinematic intensities with the Lorentz-polarization factor, no thermal factor.

The 10 most intense peaks (2θ from 15° to 90°), sorted by position:
2θ/deg	Rel. int.
18.87	13
33.74	100
38.19	18
38.37	18
40.85	15
55.25	12
66.21	14
66.45	14
69.86	12
70.95	11

Crystal structure
Lattice parameters (Å, degrees): 6.650 6.460 6.444 62.04 59.09 58.87
Element x y z (fractional)
Ce: 0.000 0.500 0.500
Ce: 0.500 0.000 0.000
Ga: 0.000 0.000 0.000
Sb: 0.000 0.000 0.500
Sb: 0.000 0.500 0.000
Sb: 0.500 0.000 0.500
Sb: 0.500 0.500 0.000


(6)
Computed powder XRD pattern of CeSc2Zn2Ga2 for Cu Kα, 1.54184 Å, from the PBE geometry in Alexandria.
Kinematic intensities with the Lorentz-polarization factor, no thermal factor.

The 10 most intense peaks (2θ from 15° to 90°), sorted by position:
2θ/deg	Rel. int.
29.01	45
33.57	69
36.16	66
41.15	100
54.11	17
55.92	18
59.68	26
68.58	18
71.74	17
89.35	19

Crystal structure
Lattice parameters (Å, degrees): 9.113 9.113 9.113 27.86 27.86 27.86
Element x y z (fractional)
Ce: 0.000 0.000 0.000
Sc: 0.131 0.131 0.131
Sc: 0.869 0.869 0.869
Zn: 0.409 0.409 0.409
Zn: 0.591 0.591 0.591
Ga: 0.252 0.252 0.252
Ga: 0.748 0.748 0.748


- Which formula does entry 4 have?
  Ce6GaSb3


- What is the formula in the second record?
  Ce5GaSb5